Entry 1:
The following is a calculated X-ray diffraction stick pattern of CsErSiS4. It was derived from a cell relaxed with GGA-PBE, using a wavelength of 1.5418 Å.

a b c (Å): 6.3874 6.7216 17.9640
angles (deg): 90.00 90.00 90.00
Element x y z (fractional)
Cs 0.0126 0.0059 0.4677
Cs 0.4874 0.9941 0.9677
Cs 0.5126 0.4941 0.5323
Cs 0.9874 0.5059 0.0323
Er 0.2088 0.0224 0.7284
Er 0.2912 0.9776 0.2284
Er 0.7088 0.4776 0.2716
Er 0.7912 0.5224 0.7716
Si 0.2091 0.5174 0.3297
Si 0.2909 0.4826 0.8297
Si 0.7091 0.9826 0.6703
Si 0.7909 0.0174 0.1703
S 0.0547 0.0114 0.0992
S 0.0661 0.2533 0.8507
S 0.1016 0.5808 0.2201
S 0.1038 0.7467 0.8402
S 0.3962 0.2533 0.3402
S 0.3984 0.4192 0.7201
S 0.4339 0.7467 0.3507
S 0.4453 0.9886 0.5992
S 0.5547 0.4886 0.9008
S 0.5661 0.2467 0.1493
S 0.6016 0.9192 0.7799
S 0.6038 0.7533 0.1598
S 0.8962 0.2467 0.6598
S 0.8984 0.0808 0.2799
S 0.9339 0.7533 0.6493
S 0.9453 0.5114 0.4008

Largest 8 diffraction maxima, sorted by position, 2θ from 10° to 80°:
d (Å)	I/Imax
4.630	48
4.486	100
4.116	48
3.734	46
3.361	59
3.009	65
2.691	44
2.242	65



Entry 2:
The following is a calculated X-ray diffraction stick pattern of Cu2SiHgSe4. It was derived from a cell relaxed with GGA-PBE, using a wavelength of 1.5418 Å.

a b c (Å): 8.1244 6.8606 6.6504
angles (deg): 90.00 90.00 90.00
Element x y z (fractional)
Cu 0.2475 0.1762 0.0000
Cu 0.2525 0.8238 0.5000
Cu 0.7475 0.8238 0.5000
Cu 0.7525 0.1762 0.0000
Si 0.0000 0.3211 0.4889
Si 0.5000 0.6789 0.9889
Hg 0.0000 0.6510 0.0024
Hg 0.5000 0.3490 0.5024
Se 0.0000 0.2915 0.8387
Se 0.0000 0.6510 0.4065
Se 0.2270 0.1553 0.3624
Se 0.2730 0.8447 0.8624
Se 0.5000 0.3490 0.9065
Se 0.5000 0.7085 0.3387
Se 0.7270 0.8447 0.8624
Se 0.7730 0.1553 0.3624

Largest 8 diffraction maxima, sorted by position, 2θ from 10° to 80°:
d (Å)	I/Imax
3.495	100
3.430	41
3.325	76
3.094	71
2.031	40
1.993	71
1.872	80
1.709	39



Entry 3:
The following is a calculated X-ray diffraction stick pattern of Tl2O3. It was derived from a cell relaxed with GGA-PBE, using a wavelength of 1.5418 Å.

a b c (Å): 9.3308 9.3308 9.3308
angles (deg): 109.47 109.47 109.47
Element x y z (fractional)
Tl 0.0000 0.0000 0.0000
Tl 0.0000 0.5000 0.5000
Tl 0.0341 0.7841 0.2500
Tl 0.2159 0.7500 0.9659
Tl 0.2500 0.0341 0.7841
Tl 0.2500 0.5341 0.2841
Tl 0.2841 0.2500 0.5341
Tl 0.4659 0.7159 0.7500
Tl 0.5000 0.0000 0.5000
Tl 0.5000 0.5000 0.0000
Tl 0.5341 0.2841 0.2500
Tl 0.7159 0.7500 0.4659
Tl 0.7500 0.4659 0.7159
Tl 0.7500 0.9659 0.2159
Tl 0.7841 0.2500 0.0341
Tl 0.9659 0.2159 0.7500
O 0.0033 0.4611 0.7330
O 0.0389 0.0422 0.2718
O 0.0422 0.2718 0.0389
O 0.2282 0.2704 0.7670
O 0.2296 0.4578 0.4967
O 0.2330 0.7718 0.7296
O 0.2670 0.9967 0.5389
O 0.2704 0.7670 0.2282
O 0.2718 0.0389 0.0422
O 0.4578 0.4967 0.2296
O 0.4611 0.7330 0.0033
O 0.4967 0.2296 0.4578
O 0.5033 0.7704 0.5422
O 0.5389 0.2670 0.9967
O 0.5422 0.5033 0.7704
O 0.7282 0.9611 0.9578
O 0.7296 0.2330 0.7718
O 0.7330 0.0033 0.4611
O 0.7670 0.2282 0.2704
O 0.7704 0.5422 0.5033
O 0.7718 0.7296 0.2330
O 0.9578 0.7282 0.9611
O 0.9611 0.9578 0.7282
O 0.9967 0.5389 0.2670

Largest 8 diffraction maxima, sorted by position, 2θ from 10° to 80°:
d (Å)	I/Imax
4.399	10
3.110	100
2.694	38
2.113	9
1.905	36
1.624	32
1.555	7
1.236	8



Entry 4:
The following is a calculated X-ray diffraction stick pattern of Li3NiN2. It was derived from a cell relaxed with GGA-PBE, using a wavelength of 1.5418 Å.

a b c (Å): 8.2332 8.2332 8.2332
angles (deg): 109.47 109.47 109.47
Element x y z (fractional)
Li 0.0134 0.7577 0.0291
Li 0.0157 0.5291 0.7715
Li 0.0291 0.0134 0.7577
Li 0.2285 0.9843 0.4709
Li 0.2423 0.9709 0.9866
Li 0.2443 0.7285 0.2577
Li 0.2557 0.5134 0.4843
Li 0.2577 0.2443 0.7285
Li 0.2715 0.7423 0.7557
Li 0.4709 0.2285 0.9843
Li 0.4843 0.2557 0.5134
Li 0.4866 0.5157 0.7443
Li 0.5134 0.4843 0.2557
Li 0.5157 0.7443 0.4866
Li 0.5291 0.7715 0.0157
Li 0.7285 0.2577 0.2443
Li 0.7423 0.7557 0.2715
Li 0.7443 0.4866 0.5157
Li 0.7557 0.2715 0.7423
Li 0.7577 0.0291 0.0134
Li 0.7715 0.0157 0.5291
Li 0.9709 0.9866 0.2423
Li 0.9843 0.4709 0.2285
Li 0.9866 0.2423 0.9709
Ni 0.0000 0.2665 0.5000
Ni 0.0000 0.7335 0.5000
Ni 0.2335 0.2335 0.2335
Ni 0.2665 0.5000 0.0000
Ni 0.5000 0.0000 0.2665
Ni 0.5000 0.0000 0.7335
Ni 0.7335 0.5000 0.0000
Ni 0.7665 0.7665 0.7665
N 0.0000 0.0000 0.0000
N 0.0000 0.5000 0.5000
N 0.0289 0.2789 0.7500
N 0.2211 0.2500 0.4711
N 0.2500 0.4711 0.2211
N 0.2500 0.9711 0.7211
N 0.2789 0.7500 0.0289
N 0.4711 0.2211 0.2500
N 0.5000 0.0000 0.5000
N 0.5000 0.5000 0.0000
N 0.5289 0.7789 0.7500
N 0.7211 0.2500 0.9711
N 0.7500 0.0289 0.2789
N 0.7500 0.5289 0.7789
N 0.7789 0.7500 0.5289
N 0.9711 0.7211 0.2500

Largest 8 diffraction maxima, sorted by position, 2θ from 10° to 80°:
d (Å)	I/Imax
3.881	100
2.541	52
2.377	19
2.027	16
1.736	12
1.681	39
1.542	18
1.294	12



Entry 5:
The following is a calculated X-ray diffraction stick pattern of Tb2SeO2. It was derived from a cell relaxed with GGA-PBE, using a wavelength of 1.5418 Å.

a b c (Å): 3.8707 12.2432 3.8605
angles (deg): 90.00 90.00 90.00
Element x y z (fractional)
Tb 0.0700 0.1568 0.0000
Tb 0.4300 0.6568 0.5000
Tb 0.5700 0.3432 0.5000
Tb 0.9300 0.8432 0.0000
Se 0.0000 0.5000 0.0000
Se 0.5000 0.0000 0.5000
O 0.0655 0.2505 0.5000
O 0.4345 0.7505 0.0000
O 0.5655 0.2495 0.0000
O 0.9345 0.7495 0.5000

Largest 8 diffraction maxima, sorted by position, 2θ from 10° to 80°:
d (Å)	I/Imax
3.685	11
2.806	100
2.733	37
2.040	15
1.930	11
1.635	20
1.593	14
1.591	17



Entry 6:
The following is a calculated X-ray diffraction stick pattern of Sr5Re2N6. It was derived from a cell relaxed with GGA-PBE, using a wavelength of 1.5418 Å.

a b c (Å): 6.3404 6.3404 13.3184
angles (deg): 100.27 100.27 67.88
Element x y z (fractional)
Sr 0.1143 0.8857 0.7500
Sr 0.1780 0.7008 0.0036
Sr 0.2480 0.4353 0.2851
Sr 0.2992 0.8220 0.4964
Sr 0.4353 0.2480 0.7851
Sr 0.5647 0.7520 0.2149
Sr 0.7008 0.1780 0.5036
Sr 0.7520 0.5647 0.7149
Sr 0.8220 0.2992 0.9964
Sr 0.8857 0.1143 0.2500
Re 0.1652 0.3727 0.5596
Re 0.3727 0.1652 0.0596
Re 0.6273 0.8348 0.9404
Re 0.8348 0.6273 0.4404
N 0.0934 0.1978 0.6421
N 0.1645 0.2491 0.4208
N 0.1978 0.0934 0.1421
N 0.2491 0.1645 0.9208
N 0.3949 0.4970 0.6219
N 0.4970 0.3949 0.1219
N 0.5030 0.6051 0.8781
N 0.6051 0.5030 0.3781
N 0.7509 0.8355 0.0792
N 0.8022 0.9066 0.8579
N 0.8355 0.7509 0.5792
N 0.9066 0.8022 0.3579

Largest 8 diffraction maxima, sorted by position, 2θ from 10° to 80°:
d (Å)	I/Imax
6.504	57
5.580	65
5.137	38
3.000	62
2.878	86
2.778	100
2.742	97
2.284	40



Repeat the third record exactly.
The following is a calculated X-ray diffraction stick pattern of Tl2O3. It was derived from a cell relaxed with GGA-PBE, using a wavelength of 1.5418 Å.

a b c (Å): 9.3308 9.3308 9.3308
angles (deg): 109.47 109.47 109.47
Element x y z (fractional)
Tl 0.0000 0.0000 0.0000
Tl 0.0000 0.5000 0.5000
Tl 0.0341 0.7841 0.2500
Tl 0.2159 0.7500 0.9659
Tl 0.2500 0.0341 0.7841
Tl 0.2500 0.5341 0.2841
Tl 0.2841 0.2500 0.5341
Tl 0.4659 0.7159 0.7500
Tl 0.5000 0.0000 0.5000
Tl 0.5000 0.5000 0.0000
Tl 0.5341 0.2841 0.2500
Tl 0.7159 0.7500 0.4659
Tl 0.7500 0.4659 0.7159
Tl 0.7500 0.9659 0.2159
Tl 0.7841 0.2500 0.0341
Tl 0.9659 0.2159 0.7500
O 0.0033 0.4611 0.7330
O 0.0389 0.0422 0.2718
O 0.0422 0.2718 0.0389
O 0.2282 0.2704 0.7670
O 0.2296 0.4578 0.4967
O 0.2330 0.7718 0.7296
O 0.2670 0.9967 0.5389
O 0.2704 0.7670 0.2282
O 0.2718 0.0389 0.0422
O 0.4578 0.4967 0.2296
O 0.4611 0.7330 0.0033
O 0.4967 0.2296 0.4578
O 0.5033 0.7704 0.5422
O 0.5389 0.2670 0.9967
O 0.5422 0.5033 0.7704
O 0.7282 0.9611 0.9578
O 0.7296 0.2330 0.7718
O 0.7330 0.0033 0.4611
O 0.7670 0.2282 0.2704
O 0.7704 0.5422 0.5033
O 0.7718 0.7296 0.2330
O 0.9578 0.7282 0.9611
O 0.9611 0.9578 0.7282
O 0.9967 0.5389 0.2670

Largest 8 diffraction maxima, sorted by position, 2θ from 10° to 80°:
d (Å)	I/Imax
4.399	10
3.110	100
2.694	38
2.113	9
1.905	36
1.624	32
1.555	7
1.236	8